# 1
Structure and theoretical PXRD pattern of DyZrHg4 (a crystal structure in Alexandria, relaxed with PBE; Cu Kα X-rays).
Intensities are scaled so that the largest is 100.

Structure:
Lattice parameters (Å, degrees): 5.161 3.538 15.302 90.00 90.00 90.00
Space group Amm2 (No. 38)
Asymmetric unit:
1 Dy 0.000 0.000 0.000
2 Zr 0.500 0.000 0.781
3 Hg 0.000 0.000 0.329
4 Hg 0.000 0.000 0.669
5 Hg 0.500 0.000 0.118
6 Hg 0.500 0.000 0.447

Peak list (10 most intense, 15 to 90 degrees two-theta, by angle)
| (hkl) | two_theta | d (Å) | intensity |
| --- | --- | --- | --- |
| 0 1 3 | 30.76 | 2.907 | 19 |
| 2 0 0 | 34.77 | 2.580 | 33 |
| 1 1 3 | 35.44 | 2.533 | 100 |
| 1 0 6 | 39.41 | 2.286 | 31 |
| 2 1 3 | 47.09 | 1.930 | 12 |
| 0 1 9 | 60.40 | 1.532 | 14 |
| 3 1 3 | 62.76 | 1.480 | 19 |
| 2 2 0 | 63.79 | 1.459 | 12 |
| 1 2 6 | 66.87 | 1.399 | 13 |
| 2 1 9 | 71.62 | 1.318 | 16 |



# 2
Structure and theoretical PXRD pattern of Dy3Ho (a crystal structure in Alexandria, relaxed with PBE; Cu Kα X-rays).
Intensities are scaled so that the largest is 100.

Structure:
Lattice parameters (Å, degrees): 4.992 4.992 4.992 90.00 90.00 90.00
Space group Pm-3m (No. 221)
Asymmetric unit:
1 Dy 0.000 0.000 0.500
2 Ho 0.500 0.500 0.500

Peak list (8 most intense, 15 to 90 degrees two-theta, by angle)
| (hkl) | two_theta | d (Å) | intensity |
| --- | --- | --- | --- |
| 1 1 1 | 31.03 | 2.882 | 100 |
| 2 0 0 | 35.98 | 2.496 | 51 |
| 2 2 0 | 51.80 | 1.765 | 36 |
| 3 1 1 | 61.62 | 1.505 | 43 |
| 2 2 2 | 64.68 | 1.441 | 12 |
| 4 0 0 | 76.30 | 1.248 | 6 |
| 3 3 1 | 84.62 | 1.145 | 18 |
| 4 2 0 | 87.36 | 1.116 | 17 |



# 3
Structure and theoretical PXRD pattern of Dy3Ho5 (a crystal structure in Alexandria, relaxed with PBE; Cu Kα X-rays).
Intensities are scaled so that the largest is 100.

Structure:
Lattice parameters (Å, degrees): 3.607 5.584 12.487 90.00 90.00 90.00
Space group Pmm2 (No. 25)
Asymmetric unit:
1 Dy 0.000 0.000 0.000
2 Dy 0.000 0.500 0.168
3 Dy 0.500 0.000 0.251
4 Ho 0.000 0.000 0.501
5 Ho 0.000 0.500 0.668
6 Ho 0.500 0.000 0.750
7 Ho 0.500 0.500 0.418
8 Ho 0.500 0.500 0.917

Peak list (10 most intense, 15 to 90 degrees two-theta, by angle)
| (hkl) | two_theta | d (Å) | intensity |
| --- | --- | --- | --- |
| 0 0 4 | 28.59 | 3.123 | 24 |
| 0 2 0 | 32.06 | 2.792 | 24 |
| 1 1 2 | 32.86 | 2.725 | 100 |
| 0 2 4 | 43.48 | 2.081 | 15 |
| 2 0 0 | 50.63 | 1.803 | 20 |
| 1 3 2 | 57.66 | 1.599 | 20 |
| 2 2 0 | 61.20 | 1.515 | 23 |
| 0 1 8 | 61.69 | 1.504 | 17 |
| 2 1 8 | 83.77 | 1.155 | 14 |
| 2 4 0 | 88.61 | 1.104 | 8 |



# 4
Structure and theoretical PXRD pattern of Dy2Ho5 (a crystal structure in Alexandria, relaxed with PBE; Cu Kα X-rays).
Intensities are scaled so that the largest is 100.

Structure:
Lattice parameters (Å, degrees): 15.545 6.231 9.120 90.00 96.13 90.00
Space group C2/c (No. 15)
Asymmetric unit:
1 Dy 0.072 0.167 0.107
2 Ho 0.000 0.333 0.750
3 Ho 0.143 0.334 0.464
4 Ho 0.214 0.167 0.821

Peak list (10 most intense, 15 to 90 degrees two-theta, by angle)
| (hkl) | two_theta | d (Å) | intensity |
| --- | --- | --- | --- |
| 3 1 -2 | 28.64 | 3.116 | 24 |
| 4 0 2 | 32.00 | 2.797 | 24 |
| 2 2 1 | 32.90 | 2.723 | 100 |
| 7 1 0 | 43.47 | 2.082 | 16 |
| 6 0 -4 | 50.74 | 1.799 | 20 |
| 9 1 1 | 57.60 | 1.600 | 20 |
| 7 3 0 | 61.25 | 1.513 | 23 |
| 2 4 1 | 61.81 | 1.501 | 16 |
| 11 1 -5 | 83.96 | 1.153 | 14 |
| 14 0 0 | 88.56 | 1.104 | 8 |



# 5
Structure and theoretical PXRD pattern of Dy5Ho3 (a crystal structure in Alexandria, relaxed with PBE; Cu Kα X-rays).
Intensities are scaled so that the largest is 100.

Structure:
Lattice parameters (Å, degrees): 3.611 5.594 12.500 90.00 90.00 90.00
Space group Pmm2 (No. 25)
Asymmetric unit:
1 Dy 0.000 0.000 0.000
2 Dy 0.000 0.000 0.499
3 Dy 0.000 0.500 0.832
4 Dy 0.500 0.000 0.750
5 Dy 0.500 0.500 0.582
6 Ho 0.000 0.500 0.332
7 Ho 0.500 0.000 0.249
8 Ho 0.500 0.500 0.083

Peak list (10 most intense, 15 to 90 degrees two-theta, by angle)
| (hkl) | two_theta | d (Å) | intensity |
| --- | --- | --- | --- |
| 0 0 4 | 28.55 | 3.126 | 24 |
| 0 2 0 | 32.00 | 2.797 | 24 |
| 1 1 2 | 32.82 | 2.729 | 100 |
| 0 2 4 | 43.41 | 2.084 | 15 |
| 2 0 0 | 50.57 | 1.805 | 20 |
| 1 3 2 | 57.55 | 1.601 | 20 |
| 2 2 0 | 61.11 | 1.517 | 23 |
| 0 1 8 | 61.61 | 1.505 | 17 |
| 2 1 8 | 83.65 | 1.156 | 14 |
| 2 4 0 | 88.43 | 1.105 | 8 |



# 6
Structure and theoretical PXRD pattern of Dy2Ho3 (a crystal structure in Alexandria, relaxed with PBE; Cu Kα X-rays).
Intensities are scaled so that the largest is 100.

Structure:
Lattice parameters (Å, degrees): 6.587 15.687 6.102 90.00 90.00 90.00
Space group Ibam (No. 72)
Asymmetric unit:
1 Dy 0.149 0.192 0.000
2 Ho 0.000 0.000 0.250
3 Ho 0.117 0.408 0.000

Peak list (10 most intense, 15 to 90 degrees two-theta, by angle)
| (hkl) | two_theta | d (Å) | intensity |
| --- | --- | --- | --- |
| 0 0 2 | 29.27 | 3.051 | 28 |
| 1 4 1 | 30.30 | 2.950 | 76 |
| 2 1 1 | 31.40 | 2.849 | 100 |
| 1 5 0 | 31.59 | 2.832 | 66 |
| 1 1 2 | 32.85 | 2.726 | 31 |
| 1 3 2 | 36.73 | 2.447 | 22 |
| 1 4 3 | 52.55 | 1.741 | 18 |
| 2 1 3 | 53.26 | 1.720 | 19 |
| 3 5 2 | 59.67 | 1.550 | 27 |
| 2 9 1 | 62.15 | 1.494 | 20 |